Starting from a DFT-relaxed cell (GGA-PBE, Alexandria), the XRD peak list of Tm2Mg8Sc was simulated for a wavelength of 1.5418 Å.
Neutral-atom scattering factors, no anomalous dispersion.

Cell and atoms:
Lattice parameters (Å, degrees): 4.6292 4.6292 13.3113 90.00 90.00 90.00
Sites, in units of the cell vectors:
Tm 0.0000 0.0000 0.1795
Tm 0.0000 0.0000 0.8205
Mg 0.0000 0.5000 0.0000
Mg 0.0000 0.5000 0.3479
Mg 0.0000 0.5000 0.6521
Mg 0.5000 0.0000 0.0000
Mg 0.5000 0.0000 0.3479
Mg 0.5000 0.0000 0.6521
Mg 0.5000 0.5000 0.1713
Mg 0.5000 0.5000 0.8287
Sc 0.0000 0.0000 0.5000

Principal peaks in the range 2θ from 10° to 90°, in order of falling intensity:
| two_theta | d (Å) | I (rel.) | h k l |
| --- | --- | --- | --- |
| 34.04 | 2.634 | 100 | 1 1 3 |
| 19.17 | 4.629 | 68 | 1 0 0 |
| 27.85 | 3.203 | 52 | 1 0 3 |
| 38.91 | 2.315 | 36 | 2 0 0 |
| 67.36 | 1.390 | 26 | 3 1 3 |
| 48.53 | 1.876 | 23 | 2 1 3 |
| 13.30 | 6.656 | 22 | 0 0 2 |
| 20.01 | 4.437 | 21 | 0 0 3 |
| 27.24 | 3.273 | 21 | 1 1 0 |
| 57.55 | 1.602 | 19 | 2 0 6 |
| 30.43 | 2.937 | 18 | 1 1 2 |
| 56.23 | 1.636 | 18 | 2 2 0 |